This entry pairs a crystal structure of Cs2TlReS4 with its simulated powder X-ray diffraction pattern. Radiation: Cu Kα X-rays. Structure: the PBE geometry in Alexandria.
Neutral-atom scattering factors, no anomalous dispersion.

Most intense lines, 2θ from 10° to 80°, low angle first:
d/Å  2θ/deg  intensity  hkl
5.990  14.8  14  1 0 1
4.117  21.6  62  2 0 0
3.492  25.5  100  1 1 2
2.911  30.7  33  2 2 0
2.236  40.3  62  3 1 2
1.928  47.1  22  2 0 4
1.841  49.5  19  2 4 0
1.773  51.5  14  3 3 2
1.746  52.4  14  2 2 4
1.515  61.2  18  1 5 2

Atomic structure:
a b c (Å): 8.234 8.234 8.729
angles (deg): 90.00 90.00 90.00
Space group I-4 (No. 82)
Unique sites:
Cs  0.000  0.000  0.000 [2 per cell]
Cs  0.000  0.500  0.250 [2 per cell]
Tl  0.000  0.000  0.500 [2 per cell]
Re  0.000  0.500  0.750 [2 per cell]
S  0.138  0.679  0.610 [8 per cell]